1.
Calculated powder diffraction line list of Th3I4Cl2 for Cu Kα, 1.54184 Å, from a structure optimized by DFT (PBE).
No peak broadening, texture or thermal motion is included.

Peak list (12 most intense, 10° ≤ 2θ ≤ 80°, by intensity)
2θ/deg	I (rel.)	hkl
31.3	100	1 0 6
11.3	50	0 0 4
26.1	34	1 0 0
46.1	32	1 1 0
56.8	29	2 0 6
36.9	26	1 0 9
29.8	23	1 0 5
28.6	21	1 0 4
39.0	20	1 0 10
26.8	19	1 0 2
76.1	17	2 1 6
65.1	13	1 1 15

Atomic structure:
abc: 3.9365 3.9365 31.3261
angles: 90.00 90.00 120.00
Space group P-6m2 (No. 187)
One atom of each set of equivalent atoms:
Th 0.0000 0.0000 0.0000
Th 0.3333 0.6667 0.2611
I 0.0000 0.0000 0.1881
I 0.0000 0.0000 0.3342
Cl 0.3333 0.6667 0.0579

2.
Calculated powder diffraction line list of ThICl for Cu Kα, 1.54184 Å, from a structure optimized by DFT (PBE).
No peak broadening, texture or thermal motion is included.

Peak list (12 most intense, 10° ≤ 2θ ≤ 80°, by intensity)
2θ/deg	I (rel.)	hkl
11.2	100	0 0 1
35.3	49	1 1 2
31.6	47	1 1 -2
28.1	36	1 1 1
34.7	20	0 2 0
40.1	16	1 1 -3
35.2	16	2 0 0
25.9	15	1 1 -1
50.2	12	2 2 0
36.6	12	0 2 1
50.3	11	2 2 -1
20.5	8	0 1 1

Atomic structure:
abc: 5.1655 5.1666 7.9913
angles: 90.00 98.69 90.00
Space group P2_1/m (No. 11)
One atom of each set of equivalent atoms:
Th 0.2500 0.2500 0.0000
I 0.1892 0.7500 0.7397
Cl 0.2957 0.7500 0.1956

3.
Calculated powder diffraction line list of Ti3I7Cl for Cu Kα, 1.54184 Å, from a structure optimized by DFT (PBE).
No peak broadening, texture or thermal motion is included.

Peak list (12 most intense, 10° ≤ 2θ ≤ 80°, by intensity)
2θ/deg	I (rel.)	hkl
29.4	100	0 2 1
36.2	35	0 2 2
45.7	26	2 0 3
12.0	24	0 0 1
24.0	22	0 0 2
47.2	22	2 2 0
53.6	17	2 2 2
56.6	15	0 4 1
76.7	12	4 2 1
26.7	12	2 0 0
67.8	8	0 4 3
56.9	7	0 2 4

Atomic structure:
abc: 7.7034 7.7034 7.4053
angles: 90.00 90.00 120.00
Space group P3m1 (No. 156)
One atom of each set of equivalent atoms:
Ti 0.0554 0.5277 0.0000
I 0.1674 0.3348 0.2424
I 0.3316 0.1658 0.7919
I 0.6667 0.3333 0.1996
Cl 0.3333 0.6667 0.7749

4.
Calculated powder diffraction line list of Ti2ICl3 for Cu Kα, 1.54184 Å, from a structure optimized by DFT (PBE).
No peak broadening, texture or thermal motion is included.

Peak list (12 most intense, 10° ≤ 2θ ≤ 80°, by intensity)
2θ/deg	I (rel.)	hkl
10.8	100	2 0 -1
28.2	71	3 1 0
10.3	66	0 0 1
39.6	38	1 1 -3
37.7	25	7 1 -1
35.0	25	2 0 3
39.3	24	7 1 -2
16.3	18	4 0 -1
32.6	18	3 1 -2
30.2	17	6 0 1
31.6	16	3 1 1
50.3	14	9 1 1

Atomic structure:
abc: 22.7103 3.5249 9.1329
angles: 90.00 109.72 90.00
Space group C2/m (No. 12)
One atom of each set of equivalent atoms:
Ti 0.0856 0.0000 0.1393
Ti 0.2125 0.5000 0.3791
I 0.1639 0.5000 0.0479
Cl 0.0230 0.0000 0.8604
Cl 0.0999 0.5000 0.3396
Cl 0.2168 0.5000 0.6492

5.
Calculated powder diffraction line list of Ti3ICl7 for Cu Kα, 1.54184 Å, from a structure optimized by DFT (PBE).
No peak broadening, texture or thermal motion is included.

Peak list (12 most intense, 10° ≤ 2θ ≤ 80°, by intensity)
2θ/deg	I (rel.)	hkl
32.2	100	2 0 1
12.2	85	0 0 1
14.7	63	1 0 0
38.9	47	2 0 2
19.2	28	1 0 1
52.7	25	2 2 0
28.5	21	1 1 1
48.3	19	0 2 3
35.8	18	1 1 2
40.2	18	0 1 3
41.6	16	2 1 1
28.8	16	0 1 2

Atomic structure:
abc: 6.9481 6.9481 7.2431
angles: 90.00 90.00 120.00
Space group P3m1 (No. 156)
One atom of each set of equivalent atoms:
Ti 0.0386 0.5193 0.0000
I 0.3333 0.6667 0.2947
Cl 0.1717 0.3433 0.7943
Cl 0.3399 0.1699 0.1728
Cl 0.6667 0.3333 0.8092

6.
Calculated powder diffraction line list of TlICl2 for Cu Kα, 1.54184 Å, from a structure optimized by DFT (PBE).
No peak broadening, texture or thermal motion is included.

Peak list (12 most intense, 10° ≤ 2θ ≤ 80°, by intensity)
2θ/deg	I (rel.)	hkl
22.9	100	1 0 2
20.8	45	1 0 1
35.0	45	1 1 0
39.6	36	1 0 6
41.9	28	1 1 4
22.4	23	0 0 4
30.2	21	1 0 4
42.2	21	2 0 2
56.0	19	2 1 2
65.8	16	2 1 6
11.1	16	0 0 2
53.8	15	2 0 6

Atomic structure:
abc: 5.1308 5.1308 15.9070
angles: 90.00 90.00 120.00
Space group P6_3/mmc (No. 194)
One atom of each set of equivalent atoms:
Tl 0.0000 0.0000 0.0000
I 0.3333 0.6667 0.2500
Cl 0.3333 0.6667 0.0879

Repeat the fifth record exactly.
Calculated powder diffraction line list of Ti3ICl7 for Cu Kα, 1.54184 Å, from a structure optimized by DFT (PBE).
No peak broadening, texture or thermal motion is included.

Peak list (12 most intense, 10° ≤ 2θ ≤ 80°, by intensity)
2θ/deg	I (rel.)	hkl
32.2	100	2 0 1
12.2	85	0 0 1
14.7	63	1 0 0
38.9	47	2 0 2
19.2	28	1 0 1
52.7	25	2 2 0
28.5	21	1 1 1
48.3	19	0 2 3
35.8	18	1 1 2
40.2	18	0 1 3
41.6	16	2 1 1
28.8	16	0 1 2

Atomic structure:
abc: 6.9481 6.9481 7.2431
angles: 90.00 90.00 120.00
Space group P3m1 (No. 156)
One atom of each set of equivalent atoms:
Ti 0.0386 0.5193 0.0000
I 0.3333 0.6667 0.2947
Cl 0.1717 0.3433 0.7943
Cl 0.3399 0.1699 0.1728
Cl 0.6667 0.3333 0.8092